This entry pairs a crystal structure of Sr2Cu5Rh5 with its computed PXRD pattern. Radiation: copper Kα. Structure: a cell relaxed with GGA-PBE.
Kinematic intensities with the Lorentz-polarization factor, no thermal factor.

Structural model:
```
data_Sr2Cu5Rh5
_chemical_formula_sum 'Sr2 Cu5 Rh5'
_space_group_name_H-M_alt 'P 1'
_space_group_IT_number 1
_space_group_name_Hall 'P 1'
_cell_length_a 4.1300
_cell_length_b 5.3441
_cell_length_c 9.2330
_cell_angle_alpha 90.00
_cell_angle_beta 90.00
_cell_angle_gamma 90.00
loop_
_atom_site_label
_atom_site_type_symbol
_atom_site_fract_x
_atom_site_fract_y
_atom_site_fract_z
Sr1 Sr 0.0000 0.0000 0.0000
Sr2 Sr 0.0000 0.5000 0.5000
Cu1 Cu 0.0000 0.0000 0.3311
Cu2 Cu 0.0000 0.0000 0.6689
Cu3 Cu 0.0000 0.5000 0.1669
Cu4 Cu 0.0000 0.5000 0.8331
Cu5 Cu 0.5000 0.0000 0.5000
Rh1 Rh 0.5000 0.2473 0.2515
Rh2 Rh 0.5000 0.2473 0.7485
Rh3 Rh 0.5000 0.5000 0.0000
Rh4 Rh 0.5000 0.7527 0.2515
Rh5 Rh 0.5000 0.7527 0.7485
```

Principal peaks in the range 10° ≤ 2θ ≤ 80°, most intense first:
2θ 40.2, d 2.242, rel. 100
2θ 44.9, d 2.017, rel. 53
2θ 39.0, d 2.311, rel. 52
2θ 43.8, d 2.065, rel. 34
2θ 29.0, d 3.079, rel. 33
2θ 19.2, d 4.620, rel. 22
2θ 60.1, d 1.540, rel. 21
2θ 70.6, d 1.334, rel. 17
2θ 78.1, d 1.223, rel. 14
2θ 64.5, d 1.444, rel. 14



This entry pairs a crystal structure of SrCu10Rh2 with its computed PXRD pattern. Radiation: copper Kα. Structure: a cell relaxed with GGA-PBE.
Kinematic intensities with the Lorentz-polarization factor, no thermal factor.

Structural model:
```
data_SrCu10Rh2
_chemical_formula_sum 'Sr1 Cu10 Rh2'
_space_group_name_H-M_alt 'P 1'
_space_group_IT_number 1
_space_group_name_Hall 'P 1'
_cell_length_a 8.7220
_cell_length_b 6.7064
_cell_length_c 6.5923
_cell_angle_alpha 81.96
_cell_angle_beta 49.58
_cell_angle_gamma 48.45
loop_
_atom_site_label
_atom_site_type_symbol
_atom_site_fract_x
_atom_site_fract_y
_atom_site_fract_z
Sr1 Sr 0.0000 0.0000 0.0000
Cu1 Cu 0.0000 0.5000 0.0000
Cu2 Cu 0.0010 0.3555 0.6445
Cu3 Cu 0.2588 0.4923 0.5077
Cu4 Cu 0.3555 0.0010 0.9990
Cu5 Cu 0.4923 0.2588 0.7412
Cu6 Cu 0.5000 0.0000 0.5000
Cu7 Cu 0.5077 0.7412 0.2588
Cu8 Cu 0.6445 0.9990 0.0010
Cu9 Cu 0.7412 0.5077 0.4923
Cu10 Cu 0.9990 0.6445 0.3555
Rh1 Rh 0.0000 0.0000 0.5000
Rh2 Rh 0.5000 0.5000 0.0000
```

Principal peaks in the range 10° ≤ 2θ ≤ 80°, most intense first:
2θ 41.8, d 2.159, rel. 100
2θ 41.4, d 2.180, rel. 65
2θ 46.8, d 1.943, rel. 31
2θ 47.1, d 1.928, rel. 30
2θ 41.2, d 2.191, rel. 27
2θ 35.8, d 2.509, rel. 21
2θ 20.4, d 4.360, rel. 20
2θ 75.8, d 1.255, rel. 17
2θ 46.2, d 1.966, rel. 15
2θ 47.0, d 1.935, rel. 15



This entry pairs a crystal structure of Ta2CuRh9 with its computed PXRD pattern. Radiation: copper Kα. Structure: a cell relaxed with GGA-PBE.
Kinematic intensities with the Lorentz-polarization factor, no thermal factor.

Structural model:
```
data_Ta2CuRh9
_chemical_formula_sum 'Ta2 Cu1 Rh9'
_space_group_name_H-M_alt 'P 1'
_space_group_IT_number 1
_space_group_name_Hall 'P 1'
_cell_length_a 3.8861
_cell_length_b 3.8861
_cell_length_c 11.5742
_cell_angle_alpha 90.00
_cell_angle_beta 90.00
_cell_angle_gamma 90.00
loop_
_atom_site_label
_atom_site_type_symbol
_atom_site_fract_x
_atom_site_fract_y
_atom_site_fract_z
Ta1 Ta 0.0000 0.0000 0.1724
Ta2 Ta 0.0000 0.0000 0.8276
Cu1 Cu 0.0000 0.0000 0.5000
Rh1 Rh 0.0000 0.5000 0.0000
Rh2 Rh 0.0000 0.5000 0.3352
Rh3 Rh 0.0000 0.5000 0.6648
Rh4 Rh 0.5000 0.0000 0.0000
Rh5 Rh 0.5000 0.0000 0.3352
Rh6 Rh 0.5000 0.0000 0.6648
Rh7 Rh 0.5000 0.5000 0.1672
Rh8 Rh 0.5000 0.5000 0.5000
Rh9 Rh 0.5000 0.5000 0.8328
```

Principal peaks in the range 10° ≤ 2θ ≤ 80°, most intense first:
2θ 40.3, d 2.238, rel. 100
2θ 46.8, d 1.943, rel. 33
2θ 68.5, d 1.369, rel. 20
2θ 47.1, d 1.929, rel. 16
2θ 68.3, d 1.374, rel. 10
2θ 27.7, d 3.226, rel. 2
2θ 15.3, d 5.787, rel. 2
2θ 24.2, d 3.684, rel. 2
2θ 36.2, d 2.482, rel. 1
2θ 22.9, d 3.886, rel. 1



This entry pairs a crystal structure of Tb4CuRh3 with its computed PXRD pattern. Radiation: copper Kα. Structure: a cell relaxed with GGA-PBE.
Kinematic intensities with the Lorentz-polarization factor, no thermal factor.

Structural model:
```
data_Tb4CuRh3
_chemical_formula_sum 'Tb4 Cu1 Rh3'
_space_group_name_H-M_alt 'P 1'
_space_group_IT_number 1
_space_group_name_Hall 'P 1'
_cell_length_a 3.7590
_cell_length_b 4.3587
_cell_length_c 10.5654
_cell_angle_alpha 90.00
_cell_angle_beta 90.00
_cell_angle_gamma 90.00
loop_
_atom_site_label
_atom_site_type_symbol
_atom_site_fract_x
_atom_site_fract_y
_atom_site_fract_z
Tb1 Tb 0.0000 0.0000 0.0000
Tb2 Tb 0.0000 0.5000 0.2719
Tb3 Tb 0.5000 0.0000 0.4894
Tb4 Tb 0.5000 0.5000 0.7726
Cu1 Cu 0.0000 0.0000 0.7077
Rh1 Rh 0.0000 0.5000 0.5603
Rh2 Rh 0.5000 0.0000 0.2221
Rh3 Rh 0.5000 0.5000 0.0403
```

Principal peaks in the range 10° ≤ 2θ ≤ 80°, most intense first:
2θ 32.6, d 2.749, rel. 100
2θ 40.8, d 2.214, rel. 57
2θ 33.9, d 2.641, rel. 30
2θ 41.4, d 2.179, rel. 29
2θ 34.9, d 2.570, rel. 27
2θ 48.4, d 1.879, rel. 19
2θ 39.9, d 2.259, rel. 18
2θ 54.6, d 1.681, rel. 15
2θ 26.5, d 3.362, rel. 15
2θ 65.6, d 1.423, rel. 15



This entry pairs a crystal structure of Tb3CuRh2 with its computed PXRD pattern. Radiation: copper Kα. Structure: a cell relaxed with GGA-PBE.
Kinematic intensities with the Lorentz-polarization factor, no thermal factor.

Structural model:
```
data_Tb3CuRh2
_chemical_formula_sum 'Tb6 Cu2 Rh4'
_space_group_name_H-M_alt 'P 1'
_space_group_IT_number 1
_space_group_name_Hall 'P 1'
_cell_length_a 4.8931
_cell_length_b 4.8931
_cell_length_c 11.9843
_cell_angle_alpha 90.00
_cell_angle_beta 90.00
_cell_angle_gamma 120.00
loop_
_atom_site_label
_atom_site_type_symbol
_atom_site_fract_x
_atom_site_fract_y
_atom_site_fract_z
Tb1 Tb 0.0000 0.0000 0.2471
Tb2 Tb 0.0000 0.0000 0.7529
Tb3 Tb 0.3333 0.6667 0.4163
Tb4 Tb 0.3333 0.6667 0.9186
Tb5 Tb 0.6667 0.3333 0.0814
Tb6 Tb 0.6667 0.3333 0.5837
Cu1 Cu 0.3333 0.6667 0.6677
Cu2 Cu 0.6667 0.3333 0.3323
Rh1 Rh 0.0000 0.0000 0.0000
Rh2 Rh 0.0000 0.0000 0.5000
Rh3 Rh 0.3333 0.6667 0.1675
Rh4 Rh 0.6667 0.3333 0.8325
```

Principal peaks in the range 10° ≤ 2θ ≤ 80°, most intense first:
2θ 36.7, d 2.446, rel. 100
2θ 66.2, d 1.412, rel. 35
2θ 52.9, d 1.730, rel. 17
2θ 78.1, d 1.223, rel. 11
2θ 25.7, d 3.460, rel. 8
2θ 59.8, d 1.547, rel. 3
2θ 45.4, d 1.998, rel. 2
2θ 22.3, d 3.995, rel. 1



This entry pairs a crystal structure of Tb8CuRh5 with its computed PXRD pattern. Radiation: copper Kα. Structure: a cell relaxed with GGA-PBE.
Kinematic intensities with the Lorentz-polarization factor, no thermal factor.

Structural model:
```
data_Tb8CuRh5
_chemical_formula_sum 'Tb8 Cu1 Rh5'
_space_group_name_H-M_alt 'P 1'
_space_group_IT_number 1
_space_group_name_Hall 'P 1'
_cell_length_a 7.4946
_cell_length_b 7.4946
_cell_length_c 7.4946
_cell_angle_alpha 109.38
_cell_angle_beta 109.38
_cell_angle_gamma 109.65
loop_
_atom_site_label
_atom_site_type_symbol
_atom_site_fract_x
_atom_site_fract_y
_atom_site_fract_z
Tb1 Tb 0.1214 0.3698 0.1209
Tb2 Tb 0.1223 0.3707 0.6314
Tb3 Tb 0.2489 0.0006 0.8791
Tb4 Tb 0.5091 0.8777 0.2484
Tb5 Tb 0.6293 0.2607 0.7516
Tb6 Tb 0.6302 0.7511 0.7516
Tb7 Tb 0.7393 0.4909 0.3686
Tb8 Tb 0.9994 0.8786 0.2484
Cu1 Cu 0.2500 0.7500 0.5000
Rh1 Rh 0.0072 0.6300 0.8831
Rh2 Rh 0.3700 0.2531 0.3772
Rh3 Rh 0.5000 0.5000 0.0000
Rh4 Rh 0.7469 0.1241 0.1169
Rh5 Rh 0.8759 0.9928 0.6228
```

Principal peaks in the range 10° ≤ 2θ ≤ 80°, most intense first:
2θ 32.7, d 2.737, rel. 100
2θ 38.9, d 2.313, rel. 53
2θ 54.0, d 1.698, rel. 21
2θ 29.2, d 3.059, rel. 17
2θ 66.6, d 1.405, rel. 14
2θ 51.8, d 1.766, rel. 14
2θ 54.1, d 1.695, rel. 11
2θ 49.4, d 1.845, rel. 11
2θ 70.5, d 1.336, rel. 8
2θ 76.2, d 1.249, rel. 7